# 1
This entry pairs a crystal structure of SmF3 with its theoretical powder X-ray diffraction pattern. Radiation: Cu Kα, 1.54184 Å. Structure: a cell relaxed with PBE.
Neutral-atom scattering factors, no anomalous dispersion.

Peak list (6 most intense, 2θ from 10° to 90°, low angle first)
24.0 deg, rel. 65; 25.1 deg, rel. 71; 27.1 deg, rel. 100; 29.6 deg, rel. 79; 45.5 deg, rel. 78; 47.1 deg, rel. 40

```
SmF3
1.0
6.680 0.000 0.000
0.000 7.092 0.000
0.000 0.000 4.457
Sm F
4 12
Cartesian
0.880 1.773 0.290
2.460 5.319 2.519
4.220 1.773 1.938
5.799 5.319 4.167
0.129 5.319 1.874
1.095 4.001 3.951
1.095 6.636 3.951
2.245 0.455 1.722
2.245 3.091 1.722
3.210 1.773 4.103
3.469 5.319 0.354
4.435 4.001 2.735
4.435 6.636 2.735
5.585 0.455 0.506
5.585 3.091 0.506
6.550 1.773 2.583
```

---

# 2
This entry pairs a crystal structure of SmF2 with its theoretical powder X-ray diffraction pattern. Radiation: Cu Kα, 1.54184 Å. Structure: a cell relaxed with PBE.
Neutral-atom scattering factors, no anomalous dispersion.

Peak list (6 most intense, 2θ from 10° to 90°, low angle first)
27.0 deg, rel. 100; 31.2 deg, rel. 27; 44.8 deg, rel. 59; 53.0 deg, rel. 46; 71.9 deg, rel. 19; 82.5 deg, rel. 18

```
SmF2
1.0
5.726 0.000 0.000
0.000 5.726 0.000
0.000 0.000 5.726
Sm F
4 8
Cartesian
0.000 0.000 0.000
0.000 2.863 2.863
2.863 0.000 2.863
2.863 2.863 0.000
1.431 1.431 1.431
1.431 1.431 4.294
1.431 4.294 1.431
1.431 4.294 4.294
4.294 1.431 1.431
4.294 1.431 4.294
4.294 4.294 1.431
4.294 4.294 4.294
```

---

# 3
This entry pairs a crystal structure of Sm2ThF11 with its theoretical powder X-ray diffraction pattern. Radiation: Cu Kα, 1.54184 Å. Structure: a cell relaxed with PBE.
Neutral-atom scattering factors, no anomalous dispersion.

Peak list (6 most intense, 2θ from 10° to 90°, low angle first)
13.3 deg, rel. 42; 20.4 deg, rel. 100; 22.9 deg, rel. 72; 23.7 deg, rel. 40; 42.0 deg, rel. 28; 43.8 deg, rel. 42

```
Sm2ThF11
1.0
-4.287 5.252 5.763
4.287 -5.252 5.763
4.287 5.252 -5.763
Sm Th F
4 2 22
Cartesian
1.375 1.998 0.000
5.662 3.254 0.000
-1.375 1.998 5.763
2.913 3.254 5.763
4.287 0.000 2.881
0.000 5.252 2.881
0.000 0.000 0.000
5.139 1.787 -1.634
6.037 -0.818 1.544
5.139 -1.787 4.129
3.348 -3.271 5.763
2.537 0.818 1.544
2.537 -0.818 4.218
3.348 3.271 0.000
5.139 1.787 1.634
1.750 6.070 -1.544
0.852 3.465 1.634
0.000 0.000 5.763
3.435 1.787 4.129
2.537 -0.818 7.307
-0.852 3.465 4.129
0.939 1.981 5.763
1.750 6.070 1.544
1.750 4.434 4.218
0.939 8.524 0.000
-0.852 7.039 1.634
-1.750 6.070 4.218
-0.852 3.465 7.396
```

---

# 4
This entry pairs a crystal structure of SmTlF4 with its theoretical powder X-ray diffraction pattern. Radiation: Cu Kα, 1.54184 Å. Structure: a cell relaxed with PBE.
Neutral-atom scattering factors, no anomalous dispersion.

Peak list (6 most intense, 2θ from 10° to 90°, low angle first)
26.0 deg, rel. 100; 31.7 deg, rel. 18; 41.9 deg, rel. 39; 45.5 deg, rel. 17; 46.7 deg, rel. 21; 53.2 deg, rel. 29

```
SmTlF4
1.0
3.987 0.000 0.000
0.000 3.987 0.000
0.000 0.000 6.686
Sm Tl F
1 1 4
Cartesian
0.000 0.000 0.000
1.993 1.993 3.343
0.000 1.993 1.294
0.000 1.993 5.393
1.993 0.000 1.294
1.993 0.000 5.393
```

---

# 5
This entry pairs a crystal structure of Sm2Tl3F8 with its theoretical powder X-ray diffraction pattern. Radiation: Cu Kα, 1.54184 Å. Structure: a cell relaxed with PBE.
Neutral-atom scattering factors, no anomalous dispersion.

Peak list (6 most intense, 2θ from 10° to 90°, low angle first)
24.3 deg, rel. 74; 25.6 deg, rel. 52; 25.9 deg, rel. 45; 31.8 deg, rel. 48; 34.1 deg, rel. 44; 40.4 deg, rel. 100

```
Sm2Tl3F8
1.0
4.009 -7.328 0.000
4.009 7.328 0.000
0.000 0.000 3.946
Sm Tl F
2 3 8
Cartesian
4.009 3.708 0.000
4.009 -3.708 0.000
1.547 0.000 1.973
4.009 0.000 0.000
6.472 0.000 1.973
2.019 2.359 0.000
4.009 5.006 1.973
4.009 2.405 1.973
2.019 -2.359 0.000
6.000 2.359 0.000
4.009 -2.405 1.973
4.009 -5.006 1.973
6.000 -2.359 0.000
```

---

# 6
This entry pairs a crystal structure of SmTlF4 with its theoretical powder X-ray diffraction pattern. Radiation: Cu Kα, 1.54184 Å. Structure: a cell relaxed with PBE.
Neutral-atom scattering factors, no anomalous dispersion.

Peak list (6 most intense, 2θ from 10° to 90°, low angle first)
25.5 deg, rel. 100; 28.3 deg, rel. 53; 28.5 deg, rel. 34; 28.7 deg, rel. 38; 40.9 deg, rel. 39; 48.8 deg, rel. 35

```
SmTlF4
1.0
6.260 0.000 0.000
0.000 3.732 0.000
0.000 0.000 16.828
Sm Tl F
4 4 16
Cartesian
1.545 0.933 0.928
1.585 2.799 9.342
4.675 0.933 7.486
4.715 2.799 15.900
1.325 2.799 5.054
1.805 0.933 13.468
4.455 2.799 3.360
4.935 0.933 11.774
0.031 2.799 7.516
0.563 2.799 11.392
0.682 2.799 2.089
0.831 2.799 16.283
2.299 0.933 7.869
2.448 0.933 10.503
2.567 0.933 2.978
3.099 0.933 15.930
3.161 2.799 0.898
3.693 2.799 13.850
3.812 2.799 6.325
3.961 2.799 8.959
5.429 0.933 0.545
5.578 0.933 14.739
5.697 0.933 5.436
6.229 0.933 9.312
```

---

# 7
This entry pairs a crystal structure of SmTm2F11 with its theoretical powder X-ray diffraction pattern. Radiation: Cu Kα, 1.54184 Å. Structure: a cell relaxed with PBE.
Neutral-atom scattering factors, no anomalous dispersion.

Peak list (6 most intense, 2θ from 10° to 90°, low angle first)
15.7 deg, rel. 37; 21.0 deg, rel. 100; 22.0 deg, rel. 52; 23.5 deg, rel. 88; 24.6 deg, rel. 81; 45.3 deg, rel. 53

```
SmTm2F11
1.0
-4.132 5.090 5.638
4.132 -5.090 5.638
4.132 5.090 -5.638
Sm Tm F
2 4 22
Cartesian
0.000 0.000 2.819
0.000 0.000 8.458
5.420 1.917 0.000
1.288 3.173 0.000
2.844 1.917 5.638
-1.288 3.173 5.638
4.132 0.000 0.000
5.000 -3.318 4.060
1.760 -0.791 1.481
5.000 3.318 -1.579
3.217 2.017 0.000
6.505 0.791 1.481
2.373 4.300 -1.481
3.217 -2.017 5.638
0.867 1.772 1.579
1.760 0.791 4.157
5.000 3.318 1.579
0.000 5.090 0.000
-0.867 1.772 4.060
2.373 4.300 1.481
3.265 3.318 4.060
0.916 7.108 0.000
1.760 0.791 7.120
-2.373 4.300 4.157
0.916 3.073 5.638
-0.867 1.772 7.217
2.373 5.881 4.157
-0.867 8.409 1.579
```

---

# 8
This entry pairs a crystal structure of Sm2TmF11 with its theoretical powder X-ray diffraction pattern. Radiation: Cu Kα, 1.54184 Å. Structure: a cell relaxed with PBE.
Neutral-atom scattering factors, no anomalous dispersion.

Peak list (6 most intense, 2θ from 10° to 90°, low angle first)
13.4 deg, rel. 35; 20.9 deg, rel. 100; 21.6 deg, rel. 38; 23.5 deg, rel. 79; 23.9 deg, rel. 55; 44.4 deg, rel. 43

```
Sm2TmF11
1.0
-4.274 5.165 5.552
4.274 -5.165 5.552
4.274 5.165 -5.552
Sm Tm F
4 2 22
Cartesian
1.397 1.969 0.000
5.671 3.196 0.000
-1.397 1.969 5.552
2.877 3.196 5.552
4.274 0.000 2.776
0.000 5.165 2.776
0.000 0.000 0.000
5.116 1.727 -1.629
5.961 -0.758 1.507
5.116 -1.727 3.924
3.357 -3.212 5.552
2.586 0.758 1.507
2.586 -0.758 4.045
3.357 3.212 0.000
5.116 1.727 1.629
1.688 5.923 -1.507
0.842 3.438 1.629
0.000 0.000 5.552
3.432 1.727 3.924
2.586 -0.758 7.060
-0.842 3.438 3.924
0.916 1.953 5.552
1.688 5.923 1.507
1.688 4.407 4.045
0.916 8.377 0.000
-0.842 6.892 1.629
-1.688 5.923 4.045
-0.842 3.438 7.181
```

---

# 9
This entry pairs a crystal structure of SmTmF6 with its theoretical powder X-ray diffraction pattern. Radiation: Cu Kα, 1.54184 Å. Structure: a cell relaxed with PBE.
Neutral-atom scattering factors, no anomalous dispersion.

Peak list (6 most intense, 2θ from 10° to 90°, low angle first)
21.7 deg, rel. 65; 24.9 deg, rel. 100; 28.0 deg, rel. 80; 28.7 deg, rel. 61; 41.3 deg, rel. 40; 45.0 deg, rel. 33

```
SmTmF6
1.0
5.010 0.000 0.000
0.000 7.309 0.000
-0.872 0.000 5.902
Sm Tm F
2 2 12
Cartesian
0.000 0.000 0.000
2.505 3.654 0.000
-0.436 4.975 2.951
2.069 1.321 2.951
0.891 4.451 1.340
0.793 6.870 2.200
1.082 1.885 1.016
0.551 5.539 4.887
0.840 3.216 3.703
0.741 0.796 4.563
3.396 0.796 1.340
3.298 3.216 2.200
3.586 5.539 1.016
3.056 1.885 4.887
3.345 6.870 3.703
3.246 4.451 4.563
```

---

Repeat the seventh record exactly.
This entry pairs a crystal structure of SmTm2F11 with its theoretical powder X-ray diffraction pattern. Radiation: Cu Kα, 1.54184 Å. Structure: a cell relaxed with PBE.
Neutral-atom scattering factors, no anomalous dispersion.

Peak list (6 most intense, 2θ from 10° to 90°, low angle first)
15.7 deg, rel. 37; 21.0 deg, rel. 100; 22.0 deg, rel. 52; 23.5 deg, rel. 88; 24.6 deg, rel. 81; 45.3 deg, rel. 53

```
SmTm2F11
1.0
-4.132 5.090 5.638
4.132 -5.090 5.638
4.132 5.090 -5.638
Sm Tm F
2 4 22
Cartesian
0.000 0.000 2.819
0.000 0.000 8.458
5.420 1.917 0.000
1.288 3.173 0.000
2.844 1.917 5.638
-1.288 3.173 5.638
4.132 0.000 0.000
5.000 -3.318 4.060
1.760 -0.791 1.481
5.000 3.318 -1.579
3.217 2.017 0.000
6.505 0.791 1.481
2.373 4.300 -1.481
3.217 -2.017 5.638
0.867 1.772 1.579
1.760 0.791 4.157
5.000 3.318 1.579
0.000 5.090 0.000
-0.867 1.772 4.060
2.373 4.300 1.481
3.265 3.318 4.060
0.916 7.108 0.000
1.760 0.791 7.120
-2.373 4.300 4.157
0.916 3.073 5.638
-0.867 1.772 7.217
2.373 5.881 4.157
-0.867 8.409 1.579
```